Record 1
This entry pairs a crystal structure of CoHgO3 with its calculated powder XRD pattern. Radiation: Cu Kα, 1.54184 Å. Structure: the GGA+U geometry in OQMD.
Kinematic intensities with the Lorentz-polarization factor, no thermal factor.

Cell and atoms:
```
data_CoHgO3
_chemical_formula_sum 'Co6 Hg6 O18'
_space_group_name_H-M_alt 'R -3'
_space_group_IT_number 148
_space_group_name_Hall '-R 3'
_cell_length_a 5.1588
_cell_length_b 5.1588
_cell_length_c 15.1770
_cell_angle_alpha 90.00
_cell_angle_beta 90.00
_cell_angle_gamma 120.00
loop_
_atom_site_label
_atom_site_fract_x
_atom_site_fract_y
_atom_site_fract_z
Co1 0.0000 0.0000 0.1616
Hg1 0.0000 0.0000 0.3697
O1 0.0079 0.3917 0.4324
```

Largest 12 diffraction maxima, in order of rising 2θ, 2θ = 5–70°:
hkl, two_theta, intensity
0 0 3, 17.5, 13
1 0 1, 20.7, 43
1 0 4, 30.9, 100
1 1 0, 34.8, 78
0 1 5, 35.8, 23
2 -1 3, 39.2, 22
0 2 1, 40.8, 13
0 2 4, 47.2, 33
1 1 6, 50.5, 13
0 1 8, 52.4, 15
2 1 4, 60.0, 32
3 0 0, 62.4, 21


Record 2
This entry pairs a crystal structure of CoHgSO with its calculated powder XRD pattern. Radiation: Cu Kα, 1.54184 Å. Structure: the GGA+U geometry in OQMD.
Kinematic intensities with the Lorentz-polarization factor, no thermal factor.

Cell and atoms:
```
data_CoHgSO
_chemical_formula_sum 'Co4 Hg4 S4 O4'
_space_group_name_H-M_alt 'C m c 21'
_space_group_IT_number 36
_cell_length_a 3.7149
_cell_length_b 12.9381
_cell_length_c 5.8323
_cell_angle_alpha 90.00
_cell_angle_beta 90.00
_cell_angle_gamma 90.00
loop_
_space_group_symop_operation_xyz
'x,y,z'
'-x,-y,z+1/2'
'-x,y,z'
'x,-y,z+1/2'
'x+1/2,y+1/2,z'
'-x+1/2,-y+1/2,z+1/2'
'-x+1/2,y+1/2,z'
'x+1/2,-y+1/2,z+1/2'
loop_
_atom_site_label
_atom_site_fract_x
_atom_site_fract_y
_atom_site_fract_z
Co1 0.0000 0.0658 0.0000
Hg1 0.0000 0.3395 0.9634
S1 0.0000 0.3315 0.4004
O1 0.0000 0.0636 0.3357
```

Largest 12 diffraction maxima, in order of rising 2θ, 2θ = 5–70°:
hkl, two_theta, intensity
0 2 1, 20.5, 57
0 4 0, 27.6, 23
1 1 1, 29.3, 97
0 0 2, 30.7, 64
0 4 1, 31.6, 50
1 3 0, 31.8, 100
1 3 2, 44.8, 71
1 5 1, 45.5, 17
2 0 0, 49.0, 21
1 1 3, 53.7, 35
2 0 2, 59.0, 20
2 4 1, 59.5, 17


Record 3
This entry pairs a crystal structure of CoHgSeO with its calculated powder XRD pattern. Radiation: Cu Kα, 1.54184 Å. Structure: the GGA+U geometry in OQMD.
Kinematic intensities with the Lorentz-polarization factor, no thermal factor.

Cell and atoms:
```
data_CoHgSeO
_chemical_formula_sum 'Co4 Hg4 Se4 O4'
_space_group_name_H-M_alt 'P 1 21 1'
_space_group_IT_number 4
_cell_length_a 5.5305
_cell_length_b 5.5372
_cell_length_c 11.4553
_cell_angle_alpha 90.00
_cell_angle_beta 93.50
_cell_angle_gamma 90.00
loop_
_space_group_symop_operation_xyz
'x,y,z'
'-x,y+1/2,-z'
loop_
_atom_site_label
_atom_site_fract_x
_atom_site_fract_y
_atom_site_fract_z
Co1 0.0030 0.0000 0.4615
Co2 0.4838 0.5183 0.4644
Hg1 0.1241 0.9108 0.7493
Hg2 0.3142 0.6991 0.0857
Se1 0.2031 0.7243 0.2979
Se2 0.4353 0.6860 0.8765
O1 0.2485 0.7661 0.5563
O2 0.2533 0.2574 0.5016
```

Largest 12 diffraction maxima, in order of rising 2θ, 2θ = 5–70°:
hkl, two_theta, intensity
0 1 1, 17.8, 50
1 1 0, 22.7, 100
1 0 2, 23.1, 33
1 1 -1, 23.7, 28
1 0 -3, 27.6, 25
0 1 3, 28.4, 24
1 0 -4, 34.4, 34
1 2 1, 37.4, 32
2 1 1, 37.7, 25
2 1 2, 40.6, 23
1 1 5, 46.9, 25
2 1 -4, 47.3, 23